Record 1
Structure and simulated powder XRD pattern of K2TeH6SO10 (a structure optimized by DFT (GGA-PBE); Cu Ka).
Kinematic intensities with the Lorentz-polarization factor, no thermal factor.

Top 10 peaks for 10° ≤ 2θ ≤ 80°, low angle first:
(0 1 0), 2θ = 15.3°, d 5.783, rel. 29; (1 0 -1), 2θ = 16.4°, d 5.405, rel. 31; (1 0 1), 2θ = 17.9°, d 4.954, rel. 100; (-1 1 1), 2θ = 18.1°, d 4.892, rel. 52; (0 1 2), 2θ = 22.9°, d 3.877, rel. 78; (1 0 -3), 2θ = 24.4°, d 3.655, rel. 70; (1 -1 3), 2θ = 24.6°, d 3.616, rel. 64; (1 1 -1), 2θ = 26.2°, d 3.401, rel. 50; (1 -2 1), 2θ = 26.7°, d 3.335, rel. 51; (2 -1 0), 2θ = 28.1°, d 3.181, rel. 33

Structural model:
```
K2TeH6SO10
1.0
6.363 0.000 0.000
-3.054 5.963 0.000
-0.120 -3.273 13.006
K Te H S O
4 2 12 2 20
Direct
0.077 0.227 0.349
0.304 0.739 0.150
0.696 0.261 0.850
0.923 0.773 0.651
0.000 0.000 0.000
0.500 0.000 0.500
0.114 0.744 0.393
0.212 0.846 0.877
0.214 0.353 0.933
0.347 0.263 0.134
0.364 0.294 0.571
0.427 0.810 0.644
0.573 0.190 0.356
0.636 0.706 0.429
0.653 0.737 0.866
0.786 0.647 0.067
0.788 0.154 0.123
0.886 0.256 0.607
0.248 0.469 0.749
0.752 0.531 0.251
0.053 0.232 0.704
0.108 0.318 0.988
0.139 0.624 0.782
0.199 0.116 0.133
0.209 0.713 0.442
0.265 0.996 0.930
0.324 0.175 0.505
0.390 0.470 0.839
0.411 0.551 0.670
0.438 0.961 0.640
0.562 0.039 0.360
0.589 0.449 0.330
0.610 0.530 0.161
0.676 0.825 0.495
0.735 0.004 0.070
0.791 0.287 0.558
0.801 0.884 0.867
0.861 0.376 0.218
0.892 0.682 0.012
0.947 0.768 0.296
```

=====

Record 2
Structure and simulated powder XRD pattern of KTiH2S2O9 (a structure optimized by DFT (GGA-PBE); Cu Ka).
Kinematic intensities with the Lorentz-polarization factor, no thermal factor.

Top 10 peaks for 10° ≤ 2θ ≤ 80°, low angle first:
(1 0 -1), 2θ = 13.6°, d 6.518, rel. 42; (0 0 2), 2θ = 19.5°, d 4.562, rel. 45; (1 0 -2), 2θ = 20.6°, d 4.302, rel. 46; (1 1 1), 2θ = 23.5°, d 3.782, rel. 70; (1 0 2), 2θ = 24.6°, d 3.622, rel. 32; (1 1 -2), 2θ = 26.6°, d 3.346, rel. 30; (2 1 0), 2θ = 28.7°, d 3.107, rel. 100; (2 1 -2), 2θ = 32.2°, d 2.780, rel. 28; (0 2 0), 2θ = 33.7°, d 2.662, rel. 49; (0 1 3), 2θ = 33.9°, d 2.641, rel. 62

Structural model:
```
KTiH2S2O9
1.0
7.800 0.000 0.000
0.000 5.324 0.000
-1.801 0.000 9.123
K Ti H S O
2 2 4 4 18
Direct
0.069 0.250 0.215
0.931 0.750 0.785
0.416 0.750 0.767
0.584 0.250 0.233
0.318 0.750 0.470
0.469 0.250 0.496
0.531 0.750 0.504
0.682 0.250 0.530
0.170 0.250 0.643
0.335 0.750 0.112
0.665 0.250 0.888
0.830 0.750 0.357
0.020 0.750 0.389
0.146 0.750 0.063
0.232 0.022 0.739
0.232 0.478 0.739
0.251 0.250 0.513
0.389 0.522 0.207
0.389 0.978 0.207
0.423 0.750 0.547
0.433 0.750 0.990
0.567 0.250 0.010
0.577 0.250 0.453
0.611 0.022 0.793
0.611 0.478 0.793
0.749 0.750 0.487
0.768 0.522 0.261
0.768 0.978 0.261
0.854 0.250 0.937
0.980 0.250 0.611
```

=====

Record 3
Structure and simulated powder XRD pattern of KUH3SO8 (a structure optimized by DFT (GGA-PBE); Cu Ka).
Kinematic intensities with the Lorentz-polarization factor, no thermal factor.

Top 10 peaks for 10° ≤ 2θ ≤ 80°, low angle first:
(1 0 0), 2θ = 11.3°, d 7.798, rel. 100; (0 0 2), 2θ = 16.0°, d 5.534, rel. 51; (1 0 -2), 2θ = 16.2°, d 5.461, rel. 94; (2 0 -2), 2θ = 23.1°, d 3.855, rel. 59; (0 2 1), 2θ = 23.3°, d 3.817, rel. 56; (1 2 -1), 2θ = 24.7°, d 3.598, rel. 69; (1 1 2), 2θ = 25.2°, d 3.540, rel. 36; (1 2 1), 2θ = 27.2°, d 3.280, rel. 41; (1 2 -3), 2θ = 31.9°, d 2.805, rel. 33; (2 1 3), 2θ = 40.4°, d 2.231, rel. 34

Structural model:
```
KUH3SO8
1.0
8.280 0.000 0.000
0.000 8.133 0.000
-3.948 0.000 11.068
K U H S O
4 4 12 4 32
Direct
0.069 0.036 0.297
0.069 0.464 0.797
0.931 0.536 0.203
0.931 0.964 0.703
0.425 0.101 0.703
0.425 0.399 0.203
0.575 0.601 0.797
0.575 0.899 0.297
0.138 0.205 0.990
0.138 0.295 0.490
0.328 0.141 0.012
0.328 0.359 0.512
0.350 0.660 0.345
0.350 0.840 0.845
0.650 0.160 0.155
0.650 0.340 0.655
0.672 0.641 0.488
0.672 0.859 0.988
0.862 0.705 0.510
0.862 0.795 0.010
0.204 0.738 0.539
0.204 0.762 0.039
0.796 0.238 0.961
0.796 0.262 0.461
0.073 0.676 0.589
0.073 0.824 0.089
0.155 0.709 0.408
0.155 0.791 0.908
0.225 0.579 0.062
0.225 0.921 0.562
0.251 0.167 0.755
0.251 0.333 0.255
0.261 0.238 0.017
0.261 0.262 0.517
0.372 0.653 0.600
0.372 0.847 0.100
0.407 0.522 0.848
0.407 0.978 0.348
0.440 0.644 0.309
0.440 0.856 0.809
0.560 0.144 0.191
0.560 0.356 0.691
0.593 0.022 0.652
0.593 0.478 0.152
0.628 0.153 0.900
0.628 0.347 0.400
0.739 0.738 0.483
0.739 0.762 0.983
0.749 0.667 0.745
0.749 0.833 0.245
0.775 0.079 0.438
0.775 0.421 0.938
0.845 0.209 0.092
0.845 0.291 0.592
0.927 0.176 0.911
0.927 0.324 0.411
```